This entry pairs a crystal structure of Y7Cu2Rh2 with its calculated powder XRD pattern. Radiation: Cu Kα. Structure: a cell relaxed with PBE.
Lines closer than 0.1° are merged.

Peak list (8 most intense, 2θ from 15° to 90°, by angle)
3.348 Å, I 45, hkl 2 0 1; 3.109 Å, I 33, hkl 2 2 0; 3.077 Å, I 35, hkl 1 1 2; 2.961 Å, I 24, hkl 0 2 2; 2.704 Å, I 59, hkl 0 4 0; 2.397 Å, I 53, hkl 1 3 2; 2.336 Å, I 100, hkl 2 2 2; 1.481 Å, I 36, hkl 0 4 4

Cell and atoms:
Cell lengths 7.597, 10.818, 7.082 Å; angles 90.00, 90.00, 90.00 degrees
Space group Cmmm (No. 65)
Unique sites:
1 Y 0.000 0.000 0.000 (multiplicity 2)
2 Y 0.000 0.500 0.259 (multiplicity 4)
3 Y 0.250 0.250 0.265 (multiplicity 8)
4 Cu 0.171 0.000 0.500 (multiplicity 4)
5 Rh 0.000 0.294 0.000 (multiplicity 4)